Entry 1:
Theoretical XRD peak list of Na3CrMo6O32 for a wavelength of 1.5418 Å, from a PBE+U-relaxed structure.

Atomic structure:
Unit cell a=6.9313 b=11.0552 c=11.1666 alpha=64.17 beta=84.95 gamma=71.94
Fractional positions:
1 Na 0.0000 0.0000 0.0000
2 Na 0.2999 0.5571 0.0841
3 Na 0.7001 0.4429 0.9159
4 Cr 0.5000 0.0000 0.5000
5 Mo 0.3046 0.8184 0.7782
6 Mo 0.3076 0.7408 0.5152
7 Mo 0.4811 0.0776 0.7761
8 Mo 0.5189 0.9224 0.2239
9 Mo 0.6924 0.2592 0.4848
10 Mo 0.6954 0.1816 0.2218
11 O 0.0173 0.4847 0.6510
12 O 0.0596 0.4479 0.2844
13 O 0.0684 0.4495 0.9977
14 O 0.1078 0.7426 0.4336
15 O 0.1097 0.8533 0.8790
16 O 0.1683 0.8113 0.6422
17 O 0.2561 0.1361 0.8431
18 O 0.3114 0.0225 0.6355
19 O 0.3233 0.9330 0.1289
20 O 0.3299 0.9535 0.4025
21 O 0.3521 0.6305 0.2416
22 O 0.4227 0.5642 0.6255
23 O 0.4332 0.6370 0.8724
24 O 0.4349 0.1799 0.3905
25 O 0.4732 0.2446 0.6115
26 O 0.4902 0.1200 0.1675
27 O 0.5098 0.8800 0.8325
28 O 0.5268 0.7554 0.3885
29 O 0.5651 0.8201 0.6095
30 O 0.5668 0.3630 0.1276
31 O 0.5773 0.4358 0.3745
32 O 0.6479 0.3695 0.7584
33 O 0.6701 0.0465 0.5975
34 O 0.6767 0.0670 0.8711
35 O 0.6886 0.9775 0.3645
36 O 0.7439 0.8639 0.1569
37 O 0.8317 0.1887 0.3578
38 O 0.8903 0.1467 0.1210
39 O 0.8922 0.2574 0.5664
40 O 0.9316 0.5505 0.0023
41 O 0.9404 0.5521 0.7156
42 O 0.9827 0.5153 0.3490

Most intense lines, 15° ≤ 2θ ≤ 90°, by angle:
2theta  I_rel
16.5  29.1
18.1  20.3
18.6  100.0
22.6  19.2
27.9  19.0
28.4  19.0
29.2  33.0
32.2  23.7
35.0  27.5
42.8  15.5

=====

Entry 2:
Theoretical XRD peak list of CrMoO3 for a wavelength of 1.5418 Å, from a PBE+U-relaxed structure.

Atomic structure:
Unit cell a=5.1376 b=5.1376 c=7.9173 alpha=90.00 beta=90.00 gamma=120.00
Fractional positions:
1 Cr 0.0000 0.0000 0.0000
2 Cr 0.3333 0.6667 0.6667
3 Cr 0.6667 0.3333 0.3333
4 Mo 0.0000 0.0000 0.3916
5 Mo 0.3333 0.6667 0.0583
6 Mo 0.6667 0.3333 0.7250
7 O 0.0519 0.6978 0.8688
8 O 0.3022 0.3541 0.8688
9 O 0.3126 0.2815 0.2021
10 O 0.3852 0.3645 0.5355
11 O 0.6355 0.0207 0.5355
12 O 0.6459 0.9481 0.8688
13 O 0.7185 0.0311 0.2021
14 O 0.9689 0.6874 0.2021
15 O 0.9793 0.6148 0.5355

Most intense lines, 15° ≤ 2θ ≤ 90°, by angle:
2theta  I_rel
22.9  70.9
30.2  100.0
34.9  90.4
46.8  34.6
49.5  85.6
59.7  30.7
62.2  20.3
62.6  27.7
83.8  15.3
83.9  15.7

=====

Entry 3:
Theoretical XRD peak list of Rb2TiCr2Mo6O24 for a wavelength of 1.5418 Å, from a PBE+U-relaxed structure.

Atomic structure:
Unit cell a=8.6642 b=8.6703 c=8.6832 alpha=99.72 beta=99.62 gamma=99.74
Fractional positions:
1 Rb 0.1861 0.1853 0.1884
2 Rb 0.8139 0.8147 0.8116
3 Ti 0.5000 0.5000 0.0000
4 Cr 0.0000 0.5000 0.5000
5 Cr 0.5000 0.0000 0.5000
6 Mo 0.2195 0.6810 0.2258
7 Mo 0.2252 0.2195 0.6798
8 Mo 0.3188 0.7741 0.7793
9 Mo 0.6812 0.2259 0.2207
10 Mo 0.7748 0.7805 0.3202
11 Mo 0.7805 0.3190 0.7742
12 O 0.0559 0.6902 0.0838
13 O 0.0825 0.0562 0.6897
14 O 0.1150 0.6762 0.6851
15 O 0.1326 0.3558 0.5801
16 O 0.1581 0.5626 0.3661
17 O 0.3107 0.9181 0.9419
18 O 0.3165 0.8840 0.3226
19 O 0.3271 0.3190 0.8850
20 O 0.3562 0.5780 0.1279
21 O 0.3661 0.1581 0.5617
22 O 0.4203 0.8659 0.6433
23 O 0.4395 0.6321 0.8449
24 O 0.5605 0.3679 0.1551
25 O 0.5797 0.1341 0.3567
26 O 0.6339 0.8419 0.4383
27 O 0.6438 0.4220 0.8721
28 O 0.6729 0.6810 0.1150
29 O 0.6835 0.1160 0.6774
30 O 0.6893 0.0819 0.0581
31 O 0.8419 0.4374 0.6339
32 O 0.8674 0.6442 0.4199
33 O 0.8850 0.3238 0.3149
34 O 0.9175 0.9438 0.3103
35 O 0.9441 0.3098 0.9162

Most intense lines, 15° ≤ 2θ ≤ 90°, by angle:
2theta  I_rel
21.2  47.5
21.8  35.1
25.6  33.5
26.9  100.0
32.1  27.2
33.2  8.8
34.5  15.0
47.5  16.3
54.8  10.6
55.4  8.8

=====

Entry 4:
Theoretical XRD peak list of Sr2CrMoO6 for a wavelength of 1.5418 Å, from a PBE+U-relaxed structure.

Atomic structure:
Unit cell a=5.6417 b=5.6417 c=5.6417 alpha=60.00 beta=60.00 gamma=60.00
Fractional positions:
1 Sr 0.2500 0.2500 0.2500
2 Sr 0.7500 0.7500 0.7500
3 Cr 0.0000 0.0000 0.0000
4 Mo 0.5000 0.5000 0.5000
5 O 0.2503 0.2503 0.7497
6 O 0.2503 0.7497 0.2503
7 O 0.2503 0.7497 0.7497
8 O 0.7497 0.2503 0.2503
9 O 0.7497 0.2503 0.7497
10 O 0.7497 0.7497 0.2503

Most intense lines, 15° ≤ 2θ ≤ 90°, by angle:
2theta  I_rel
19.3  5.0
31.7  100.0
37.4  2.9
39.1  6.4
45.5  36.4
56.5  38.1
66.3  21.3
75.3  16.5
79.7  1.7
84.0  7.1

=====

Entry 5:
Theoretical XRD peak list of Cr4PN3O16 for a wavelength of 1.5418 Å, from a PBE+U-relaxed structure.

Atomic structure:
Unit cell a=7.8831 b=7.8831 c=7.8831 alpha=102.22 beta=102.22 gamma=102.22
Fractional positions:
1 Cr 0.0000 0.0000 0.0000
2 Cr 0.3743 0.3743 0.7554
3 Cr 0.3743 0.7554 0.3743
4 Cr 0.7554 0.3743 0.3743
5 P 0.3232 0.3232 0.3232
6 N 0.5006 0.9513 0.9513
7 N 0.9513 0.5006 0.9513
8 N 0.9513 0.9513 0.5006
9 O 0.0857 0.8714 0.8715
10 O 0.1767 0.1767 0.1767
11 O 0.2414 0.2414 0.8321
12 O 0.2414 0.8321 0.2414
13 O 0.3014 0.3014 0.5081
14 O 0.3014 0.5081 0.3014
15 O 0.3621 0.5788 0.8316
16 O 0.3621 0.8316 0.5788
17 O 0.5081 0.3014 0.3014
18 O 0.5788 0.3621 0.8316
19 O 0.5788 0.8316 0.3621
20 O 0.8321 0.2414 0.2414
21 O 0.8316 0.3621 0.5788
22 O 0.8316 0.5788 0.3621
23 O 0.8715 0.0857 0.8715
24 O 0.8715 0.8715 0.0857

Most intense lines, 15° ≤ 2θ ≤ 90°, by angle:
2theta  I_rel
18.8  36.0
19.0  40.7
23.8  100.0
24.0  59.7
25.1  18.7
29.1  20.4
29.7  23.9
36.3  25.5
40.9  12.6
47.2  9.2

=====

Entry 6:
Theoretical XRD peak list of CrS2NO8 for a wavelength of 1.5418 Å, from a PBE+U-relaxed structure.

Atomic structure:
Unit cell a=4.9328 b=4.9328 c=8.5584 alpha=90.00 beta=90.00 gamma=120.00
Fractional positions:
1 Cr 0.0000 0.0000 0.0000
2 S 0.3333 0.6667 0.2065
3 S 0.6667 0.3333 0.7935
4 N 0.0000 0.0000 0.5000
5 O 0.0844 0.3574 0.1453
6 O 0.2730 0.9156 0.1453
7 O 0.3333 0.6667 0.3763
8 O 0.3574 0.0844 0.8547
9 O 0.6426 0.7270 0.1453
10 O 0.6667 0.3333 0.6237
11 O 0.7270 0.6426 0.8547
12 O 0.9156 0.2730 0.8547

Most intense lines, 15° ≤ 2θ ≤ 90°, by angle:
2theta  I_rel
23.3  100.0
29.5  44.4
36.4  25.3
37.9  9.7
47.6  21.6
57.0  7.9
58.1  10.4
61.4  12.4
65.6  7.1
66.5  9.9

=====

Entry 7:
Theoretical XRD peak list of Na3CrO4 for a wavelength of 1.5418 Å, from a PBE+U-relaxed structure.

Atomic structure:
Unit cell a=7.9091 b=7.9091 c=7.9091 alpha=90.00 beta=90.00 gamma=90.00
Fractional positions:
1 Na 0.0051 0.0051 0.0051
2 Na 0.2146 0.2146 0.2146
3 Na 0.2420 0.7580 0.2580
4 Na 0.2580 0.2420 0.7580
5 Na 0.2854 0.7854 0.7146
6 Na 0.4949 0.9949 0.5051
7 Na 0.5051 0.4949 0.9949
8 Na 0.7146 0.2854 0.7854
9 Na 0.7420 0.7420 0.7420
10 Na 0.7580 0.2580 0.2420
11 Na 0.7854 0.7146 0.2854
12 Na 0.9949 0.5051 0.4949
13 Cr 0.0022 0.5022 0.9978
14 Cr 0.4978 0.4978 0.4978
15 Cr 0.5022 0.9978 0.0022
16 Cr 0.9978 0.0022 0.5022
17 O 0.0293 0.5581 0.2093
18 O 0.0581 0.2907 0.9707
19 O 0.1266 0.6266 0.8734
20 O 0.2093 0.0293 0.5581
21 O 0.2907 0.9707 0.0581
22 O 0.3734 0.3734 0.3734
23 O 0.4419 0.7093 0.4707
24 O 0.4707 0.4419 0.7093
25 O 0.5293 0.9419 0.7907
26 O 0.5581 0.2093 0.0293
27 O 0.6266 0.8734 0.1266
28 O 0.7093 0.4707 0.4419
29 O 0.7907 0.5293 0.9419
30 O 0.8734 0.1266 0.6266
31 O 0.9419 0.7907 0.5293
32 O 0.9707 0.0581 0.2907

Most intense lines, 15° ≤ 2θ ≤ 90°, by angle:
2theta  I_rel
19.4  47.0
22.5  22.5
25.2  8.7
32.0  100.0
35.9  8.5
42.8  10.4
45.9  21.7
57.0  34.4
66.9  13.9
76.1  11.6

=====

Entry 8:
Theoretical XRD peak list of Na4CrO3 for a wavelength of 1.5418 Å, from a PBE+U-relaxed structure.

Atomic structure:
Unit cell a=6.4057 b=6.4057 c=8.2607 alpha=110.48 beta=110.48 gamma=54.23
Fractional positions:
1 Na 0.0229 0.5987 0.0929
2 Na 0.0793 0.3920 0.4051
3 Na 0.1428 0.8572 0.5000
4 Na 0.2404 0.5539 0.7992
5 Na 0.3920 0.0793 0.9051
6 Na 0.5539 0.2404 0.2992
7 Na 0.5987 0.0229 0.5929
8 Na 0.8572 0.1428 0.0000
9 Cr 0.4914 0.7674 0.1863
10 Cr 0.7674 0.4914 0.6863
11 O 0.1293 0.2355 0.6426
12 O 0.2355 0.1293 0.1426
13 O 0.4590 0.4637 0.0876
14 O 0.4637 0.4590 0.5876
15 O 0.7937 0.8074 0.3316
16 O 0.8074 0.7937 0.8316

Most intense lines, 15° ≤ 2θ ≤ 90°, by angle:
2theta  I_rel
19.0  25.9
22.9  61.9
26.4  32.9
33.0  34.9
34.9  100.0
35.7  88.6
36.5  84.5
47.2  35.2
55.3  39.4
60.2  25.2

=====

Entry 9:
Theoretical XRD peak list of Na2Cr3O9 for a wavelength of 1.5418 Å, from a PBE+U-relaxed structure.

Atomic structure:
Unit cell a=7.8378 b=5.9351 c=8.6026 alpha=90.00 beta=110.94 gamma=90.00
Fractional positions:
1 Na 0.1594 0.2500 0.0938
2 Na 0.2188 0.7500 0.7530
3 Na 0.7812 0.2500 0.2470
4 Na 0.8406 0.7500 0.9062
5 Cr 0.0680 0.7500 0.3219
6 Cr 0.4947 0.7500 0.1663
7 Cr 0.5000 0.0000 0.5000
8 Cr 0.5000 0.5000 0.5000
9 Cr 0.5053 0.2500 0.8337
10 Cr 0.9320 0.2500 0.6781
11 O 0.0011 0.0244 0.7951
12 O 0.0011 0.4756 0.7951
13 O 0.0176 0.2500 0.5330
14 O 0.2760 0.7500 0.0592
15 O 0.3133 0.7500 0.4191
16 O 0.3520 0.2500 0.4102
17 O 0.3924 0.2500 0.9592
18 O 0.4429 0.0193 0.7051
19 O 0.4429 0.4807 0.7051
20 O 0.5571 0.5193 0.2949
21 O 0.5571 0.9807 0.2949
22 O 0.6076 0.7500 0.0408
23 O 0.6480 0.7500 0.5898
24 O 0.6867 0.2500 0.5809
25 O 0.7240 0.2500 0.9408
26 O 0.9824 0.7500 0.4670
27 O 0.9989 0.5244 0.2049
28 O 0.9989 0.9756 0.2049

Most intense lines, 15° ≤ 2θ ≤ 90°, by angle:
2theta  I_rel
18.6  92.5
21.1  30.6
24.3  99.7
25.9  30.9
27.4  100.0
30.1  31.0
31.2  48.8
32.7  77.2
35.9  67.1
52.9  40.6